Starting from DFT lattice parameters and positions (PBE+U), the powder diffraction line list of SrV2O6 was simulated for Cu Kα.
Lines closer than 0.1° are merged.

Largest 10 diffraction maxima, sorted by position, 10° ≤ 2θ ≤ 80°:
two_theta, I (rel.), (hkl)
19.31, 40, 2 0 1
27.49, 100, 0 0 4
28.09, 27, 3 0 1
29.16, 100, 1 1 2
30.57, 35, 3 0 2
30.96, 55, 2 1 1
31.76, 28, 0 1 3
41.27, 55, 2 1 4
49.06, 39, 0 2 0
57.15, 35, 0 2 4

Atomic structure:
abc: 9.828 3.713 12.974
angles: 90.00 90.00 90.00
Element x y z (fractional)
Sr 0.135 0.250 0.115
Sr 0.365 0.750 0.615
Sr 0.635 0.250 0.385
Sr 0.865 0.750 0.885
V 0.001 0.250 0.636
V 0.242 0.250 0.404
V 0.258 0.750 0.904
V 0.499 0.750 0.136
V 0.501 0.250 0.864
V 0.742 0.250 0.096
V 0.758 0.750 0.596
V 0.999 0.750 0.364
O 0.027 0.750 0.236
O 0.035 0.250 0.399
O 0.109 0.750 0.975
O 0.170 0.250 0.609
O 0.190 0.750 0.428
O 0.217 0.750 0.782
O 0.283 0.250 0.282
O 0.310 0.250 0.928
O 0.330 0.750 0.109
O 0.391 0.250 0.475
O 0.465 0.750 0.899
O 0.473 0.250 0.736
O 0.527 0.750 0.264
O 0.535 0.250 0.101
O 0.609 0.750 0.525
O 0.670 0.250 0.891
O 0.690 0.750 0.072
O 0.717 0.750 0.718
O 0.783 0.250 0.218
O 0.810 0.250 0.572
O 0.830 0.750 0.391
O 0.891 0.250 0.025
O 0.965 0.750 0.601
O 0.973 0.250 0.764